[1]
# ZnSn4O8
Theoretical powder diffractogram, λ = 1.5418 Å (Cu Kα). Input: a crystal structure in the Materials Project, relaxed with GGA-PBE.
Neutral-atom scattering factors, no anomalous dispersion.

Crystal structure
abc: 6.4194 6.4194 6.4194
angles: 62.15 62.15 62.15
Element x y z (fractional)
Zn1 0.0000 0.0000 0.0000
Sn1 0.0000 0.0000 0.5000
Sn2 0.0000 0.5000 0.0000
Sn3 0.5000 0.0000 0.0000
Sn4 0.5000 0.5000 0.5000
O1 0.1975 0.7613 0.7613
O2 0.2345 0.2345 0.2345
O3 0.2387 0.2387 0.8025
O4 0.2387 0.8025 0.2387
O5 0.7613 0.1975 0.7613
O6 0.7613 0.7613 0.1975
O7 0.7655 0.7655 0.7655
O8 0.8025 0.2387 0.2387

Main lines, by intensity (2θ from 15° to 90°):
17.2 deg, intensity 1000
39.1 deg, intensity 901
33.3 deg, intensity 565
31.7 deg, intensity 565
55.5 deg, intensity 308
57.5 deg, intensity 270


[2]
# ZnSnO2
Theoretical powder diffractogram, λ = 1.5418 Å (Cu Kα). Input: a crystal structure in the Materials Project, relaxed with GGA-PBE.
Neutral-atom scattering factors, no anomalous dispersion.

Crystal structure
abc: 3.3636 8.6543 9.0214
angles: 81.29 89.72 89.38
Element x y z (fractional)
Zn1 0.1341 0.2929 0.0379
Zn2 0.3032 0.8733 0.2299
Zn3 0.6968 0.1267 0.7701
Zn4 0.8659 0.7071 0.9621
Sn1 0.2036 0.8359 0.6447
Sn2 0.4921 0.4436 0.6969
Sn3 0.5079 0.5564 0.3031
Sn4 0.7964 0.1641 0.3553
O1 0.1104 0.6161 0.7860
O2 0.1924 0.2187 0.6781
O3 0.2761 0.1037 0.2100
O4 0.3726 0.7028 0.0818
O5 0.6274 0.2972 0.9182
O6 0.7239 0.8963 0.7900
O7 0.8076 0.7813 0.3219
O8 0.8896 0.3839 0.2140

Main lines, by intensity (2θ from 15° to 90°):
31.4 deg, intensity 1000
31.1 deg, intensity 864
33.4 deg, intensity 864
19.9 deg, intensity 848
29.6 deg, intensity 847
34.1 deg, intensity 766


[3]
# ZnSnO2
Theoretical powder diffractogram, λ = 1.5418 Å (Cu Kα). Input: a crystal structure in the Materials Project, relaxed with GGA-PBE.
Neutral-atom scattering factors, no anomalous dispersion.

Crystal structure
abc: 3.3373 8.4345 9.9269
angles: 80.30 87.98 81.28
Element x y z (fractional)
Zn1 0.0000 0.0000 0.0000
Zn2 0.0184 0.6909 0.8448
Zn3 0.5251 0.9356 0.3149
Zn4 0.5775 0.6965 0.1326
Sn1 0.1856 0.5733 0.4749
Sn2 0.3384 0.0783 0.6972
Sn3 0.5554 0.3676 0.9379
Sn4 0.9111 0.2738 0.2772
O1 0.1049 0.6466 0.0508
O2 0.1331 0.2232 0.8534
O3 0.3575 0.3576 0.3902
O4 0.5057 0.9544 0.1035
O5 0.5671 0.5824 0.7961
O6 0.6341 0.6855 0.3434
O7 0.9035 0.9362 0.8085
O8 0.9823 0.0278 0.3736

Main lines, by intensity (2θ from 15° to 90°):
32.5 deg, intensity 1000
27.7 deg, intensity 840
22.6 deg, intensity 381
40.3 deg, intensity 342
32.0 deg, intensity 339
35.1 deg, intensity 281


[4]
# SrO2
Theoretical powder diffractogram, λ = 1.5418 Å (Cu Kα). Input: a crystal structure in the Materials Project, relaxed with GGA-PBE.
Neutral-atom scattering factors, no anomalous dispersion.

Crystal structure
abc: 3.5733 3.5733 6.8206
angles: 90.00 90.00 90.00
Element x y z (fractional)
Sr1 0.0000 0.0000 0.0000
Sr2 0.5000 0.5000 0.5000
O1 0.0000 0.0000 0.3893
O2 0.0000 0.0000 0.6107
O3 0.5000 0.5000 0.1107
O4 0.5000 0.5000 0.8893

Main lines, by intensity (2θ from 15° to 90°):
35.5 deg, intensity 1000
28.2 deg, intensity 941
26.1 deg, intensity 681
47.4 deg, intensity 627
44.6 deg, intensity 620
72.3 deg, intensity 336


[5]
# SrO2
Theoretical powder diffractogram, λ = 1.5418 Å (Cu Kα). Input: a crystal structure in the Materials Project, relaxed with GGA-PBE.
Neutral-atom scattering factors, no anomalous dispersion.

Crystal structure
abc: 8.5112 4.9470 4.7242
angles: 90.00 90.00 90.00
Element x y z (fractional)
Sr1 0.1466 0.2500 0.1090
Sr2 0.3534 0.7500 0.6090
Sr3 0.6466 0.2500 0.3910
Sr4 0.8534 0.7500 0.8910
O1 0.1045 0.7500 0.2771
O2 0.1446 0.7500 0.9656
O3 0.3554 0.2500 0.4656
O4 0.3955 0.2500 0.7771
O5 0.6045 0.7500 0.2229
O6 0.6446 0.7500 0.5344
O7 0.8554 0.2500 0.0344
O8 0.8955 0.2500 0.7229

Main lines, by intensity (2θ from 15° to 90°):
28.2 deg, intensity 1000
21.5 deg, intensity 598
36.3 deg, intensity 460
37.0 deg, intensity 354
27.7 deg, intensity 335
53.8 deg, intensity 304


[6]
# SrTa4O11
Theoretical powder diffractogram, λ = 1.5418 Å (Cu Kα). Input: a crystal structure in the Materials Project, relaxed with GGA-PBE.
Neutral-atom scattering factors, no anomalous dispersion.

Crystal structure
abc: 6.3187 6.3187 12.4608
angles: 90.00 90.00 120.00
Element x y z (fractional)
Sr1 0.3333 0.6667 0.2500
Sr2 0.6667 0.3333 0.7500
Ta1 0.0000 0.3564 0.5000
Ta2 0.0000 0.6436 0.0000
Ta3 0.3333 0.6667 0.7500
Ta4 0.3564 0.0000 0.5000
Ta5 0.3564 0.3564 0.0000
Ta6 0.6436 0.0000 0.0000
Ta7 0.6436 0.6436 0.5000
Ta8 0.6667 0.3333 0.2500
O1 0.0000 0.2446 0.0000
O2 0.0000 0.7554 0.5000
O3 0.0628 0.4330 0.6543
O4 0.0628 0.6298 0.8457
O5 0.2446 0.0000 0.0000
O6 0.2446 0.2446 0.5000
O7 0.3333 0.6667 0.0344
O8 0.3333 0.6667 0.4656
O9 0.3702 0.4330 0.8457
O10 0.3702 0.9372 0.6543
O11 0.4330 0.0628 0.3457
O12 0.4330 0.3702 0.1543
O13 0.5670 0.6298 0.6543
O14 0.5670 0.9372 0.8457
O15 0.6298 0.0628 0.1543
O16 0.6298 0.5670 0.3457
O17 0.6667 0.3333 0.5344
O18 0.6667 0.3333 0.9656
O19 0.7554 0.0000 0.5000
O20 0.7554 0.7554 0.0000
O21 0.9372 0.3702 0.3457
O22 0.9372 0.5670 0.1543

Main lines, by intensity (2θ from 15° to 90°):
29.2 deg, intensity 1000
31.8 deg, intensity 965
28.7 deg, intensity 533
58.6 deg, intensity 413
16.2 deg, intensity 392
50.0 deg, intensity 379